[1]
For ScTcI2N, a cell relaxed with PBE gives the simulated XRD peak list in this record (a wavelength of 1.5418 Å).
Lines closer than 0.1° are merged.

Atomic structure:
Cell: 5.575 5.575 3.765 Å, 90.00 90.00 90.00°
Space group P4/mmm (No. 123)
Unique sites:
1 Sc 0.000 0.000 0.000 x1
2 Tc 0.500 0.500 0.500 x1
3 I 0.000 0.500 0.500 x2
4 N 0.500 0.500 0.000 x1

Most intense lines, 5° ≤ 2θ ≤ 70°, sorted by position:
Position (°2θ), d/Å, Rel. int., (hkl)
15.90, 5.575, 17, 1 0 0
23.63, 3.765, 55, 0 0 1
28.61, 3.120, 28, 1 0 1
32.11, 2.787, 100, 2 0 0
32.89, 2.723, 48, 1 1 1
40.25, 2.240, 55, 2 0 1
43.54, 2.079, 18, 2 1 1
46.05, 1.971, 35, 2 2 0
52.40, 1.746, 26, 2 2 1
57.74, 1.597, 18, 3 1 1
59.22, 1.560, 33, 2 0 2
68.98, 1.361, 20, 2 2 2



[2]
For Se2IN2, a cell relaxed with PBE gives the simulated XRD peak list in this record (a wavelength of 1.5418 Å).
Lines closer than 0.1° are merged.

Atomic structure:
Cell: 3.914 3.914 7.544 Å, 90.00 90.00 90.00°
Space group P4/mmm (No. 123)
Unique sites:
1 Se 0.000 0.000 0.000 x1
2 Se 0.000 0.000 0.500 x1
3 I 0.500 0.500 0.000 x1
4 N 0.000 0.500 0.500 x2

Most intense lines, 5° ≤ 2θ ≤ 70°, sorted by position:
Position (°2θ), d/Å, Rel. int., (hkl)
11.73, 7.544, 43, 0 0 1
23.59, 3.772, 100, 0 0 2
25.64, 3.474, 51, 1 0 1
32.35, 2.767, 59, 1 1 0
34.52, 2.598, 35, 1 1 1
40.43, 2.231, 64, 1 1 2
46.40, 1.957, 30, 2 0 0
48.25, 1.886, 13, 0 0 4
52.70, 1.737, 41, 2 0 2
53.77, 1.705, 13, 2 1 1
59.29, 1.559, 21, 1 1 4
69.18, 1.358, 18, 2 0 4



[3]
For Sr4I3N2, a cell relaxed with PBE gives the simulated XRD peak list in this record (a wavelength of 1.5418 Å).
Lines closer than 0.1° are merged.

Atomic structure:
Cell: 15.691 3.927 9.536 Å, 90.00 105.63 90.00°
Space group C2/m (No. 12)
Unique sites:
1 Sr 0.096 0.000 0.214 x4
2 Sr 0.186 0.500 0.602 x4
3 I 0.000 0.000 0.500 x2
4 I 0.101 0.500 0.910 x4
5 N 0.195 0.500 0.343 x4

Most intense lines, 5° ≤ 2θ ≤ 70°, sorted by position:
Position (°2θ), d/Å, Rel. int., (hkl)
25.97, 3.431, 63, 1 1 1
27.85, 3.203, 26, 4 0 1
28.36, 3.147, 64, 2 0 -3
28.83, 3.097, 30, 3 1 0
32.04, 2.794, 100, 3 1 -2
34.29, 2.615, 18, 6 0 -1
38.50, 2.338, 19, 5 1 -2
39.01, 2.309, 20, 1 1 3
46.23, 1.964, 18, 0 2 0
55.13, 1.666, 21, 2 2 -3
56.23, 1.636, 16, 5 1 -5
56.85, 1.620, 15, 7 1 2



[4]
For SrVIN2, a cell relaxed with PBE gives the simulated XRD peak list in this record (a wavelength of 1.5418 Å).
Lines closer than 0.1° are merged.

Atomic structure:
Cell: 4.131 4.131 5.347 Å, 90.00 90.00 90.00°
Space group P4/mmm (No. 123)
Unique sites:
1 Sr 0.000 0.000 0.000 x1
2 V 0.500 0.500 0.500 x1
3 I 0.500 0.500 0.000 x1
4 N 0.000 0.500 0.500 x2

Most intense lines, 5° ≤ 2θ ≤ 70°, sorted by position:
Position (°2θ), d/Å, Rel. int., (hkl)
16.58, 5.347, 67, 0 0 1
21.51, 4.131, 35, 1 0 0
30.60, 2.921, 100, 1 1 0
33.52, 2.674, 60, 0 0 2
35.00, 2.564, 91, 1 1 1
40.18, 2.245, 13, 1 0 2
43.83, 2.066, 55, 2 0 0
46.02, 1.972, 65, 1 1 2
47.17, 1.927, 21, 2 0 1
56.28, 1.635, 50, 2 0 2
60.91, 1.521, 24, 1 1 3
63.71, 1.461, 17, 2 2 0



[5]
For SrZrI2N, a cell relaxed with PBE gives the simulated XRD peak list in this record (a wavelength of 1.5418 Å).
Lines closer than 0.1° are merged.

Atomic structure:
Cell: 5.964 5.964 4.137 Å, 90.00 90.00 90.00°
Space group P4/mmm (No. 123)
Unique sites:
1 Sr 0.000 0.000 0.000 x1
2 Zr 0.500 0.500 0.500 x1
3 I 0.000 0.500 0.500 x2
4 N 0.500 0.500 0.000 x1

Most intense lines, 5° ≤ 2θ ≤ 70°, sorted by position:
Position (°2θ), d/Å, Rel. int., (hkl)
21.48, 4.137, 34, 0 0 1
26.22, 3.399, 40, 1 0 1
29.97, 2.982, 100, 2 0 0
30.27, 2.953, 66, 1 1 1
37.17, 2.419, 33, 2 0 1
40.23, 2.242, 25, 2 1 1
42.89, 2.108, 37, 2 2 0
43.77, 2.068, 17, 0 0 2
48.46, 1.879, 15, 2 2 1
53.39, 1.716, 26, 3 1 1
53.95, 1.700, 37, 2 0 2
62.95, 1.477, 23, 2 2 2



[6]
For Tb4I5N, a cell relaxed with PBE gives the simulated XRD peak list in this record (a wavelength of 1.5418 Å).
Lines closer than 0.1° are merged.

Atomic structure:
Cell: 19.299 3.941 8.579 Å, 90.00 102.34 90.00°
Space group C2/m (No. 12)
Unique sites:
1 Tb 0.001 0.000 0.312 x4
2 Tb 0.124 0.500 0.560 x4
3 I 0.000 0.500 0.000 x2
4 I 0.161 0.000 0.838 x4
5 I 0.164 0.000 0.319 x4
6 N 0.000 0.500 0.500 x2

Most intense lines, 5° ≤ 2θ ≤ 70°, sorted by position:
Position (°2θ), d/Å, Rel. int., (hkl)
9.38, 9.427, 30, 2 0 0
10.56, 8.381, 32, 0 0 1
27.61, 3.231, 14, 3 1 -1
28.40, 3.142, 39, 6 0 0
29.91, 2.987, 22, 3 1 1
30.81, 2.902, 100, 1 1 -2
32.91, 2.722, 38, 5 1 0
35.41, 2.535, 14, 2 0 3
38.23, 2.354, 17, 6 0 -3
42.26, 2.138, 21, 5 1 2
42.53, 2.126, 21, 7 1 -2
46.06, 1.971, 19, 0 2 0



[7]
For Tb2I2N, a cell relaxed with PBE gives the simulated XRD peak list in this record (a wavelength of 1.5418 Å).
Lines closer than 0.1° are merged.

Atomic structure:
Cell: 6.586 3.802 11.865 Å, 90.00 101.99 90.00°
Space group C2/m (No. 12)
Unique sites:
1 Tb 0.208 0.000 0.110 x4
2 I 0.056 0.000 0.703 x4
3 N 0.000 0.500 0.000 x2

Most intense lines, 5° ≤ 2θ ≤ 70°, sorted by position:
Position (°2θ), d/Å, Rel. int., (hkl)
7.62, 11.606, 100, 0 0 1
15.27, 5.803, 12, 0 0 2
27.21, 3.278, 47, 1 1 0
32.26, 2.775, 31, 2 0 -3
32.79, 2.731, 61, 1 1 2
33.95, 2.641, 39, 1 1 -3
34.54, 2.597, 18, 2 0 2
38.79, 2.321, 19, 0 0 5
45.45, 1.996, 15, 1 1 -5
47.85, 1.901, 36, 0 2 0
58.88, 1.568, 11, 2 2 -3
62.53, 1.485, 9, 3 1 -6



[8]
For TiI4N2, a cell relaxed with PBE gives the simulated XRD peak list in this record (a wavelength of 1.5418 Å).
Lines closer than 0.1° are merged.

Atomic structure:
Cell: 5.087 6.258 7.262 Å, 89.47 87.69 87.58°
Space group P-1 (No. 2)
Unique sites:
1 Ti 0.000 0.000 0.000 x1
2 I 0.010 0.707 0.712 x2
3 I 0.398 0.728 0.191 x2
4 N 0.277 0.138 0.884 x2

Most intense lines, 5° ≤ 2θ ≤ 70°, sorted by position:
Position (°2θ), d/Å, Rel. int., (hkl)
12.20, 7.256, 26, 0 0 1
24.54, 3.628, 57, 0 0 2
24.90, 3.576, 36, 1 1 1
25.70, 3.467, 100, 1 1 -1
25.85, 3.447, 94, 1 -1 1
26.41, 3.375, 63, -1 1 1
28.35, 3.148, 59, 0 1 2
28.55, 3.126, 60, 0 2 0
34.98, 2.565, 32, 1 2 1
38.14, 2.359, 34, 0 2 -2
40.67, 2.218, 25, 1 0 3
44.37, 2.041, 27, 1 1 -3